PrSmSi2Os: calculated powder XRD pattern (Cu Kα, 1.54184 Å), based on the GGA-PBE geometry in OQMD.
Lines closer than 0.1° are merged.

The 10 most intense peaks (2θ = 10–90°), by angle:
27.02°, I = 49
32.27°, I = 36
32.58°, I = 66
33.27°, I = 100
33.45°, I = 45
35.88°, I = 65
40.11°, I = 29
40.23°, I = 43
42.23°, I = 49
62.64°, I = 34

Cell and atoms:
```
10
Lattice="5.5412 -2.1400 0.0000 5.5412 2.1400 0.0000 -5.1636 0.0000 8.9924" Properties=species:S:1:pos:R:3 pbc="T T T"
Pr 1.5329 0.0000 0.9667
Pr 4.3859 0.0000 8.0257
Sm -3.4051 0.0000 6.0900
Sm 9.3239 0.0000 2.9024
Si 1.5794 0.0000 3.9293
Si 0.9957 0.0000 7.8277
Si 4.9231 0.0000 1.1647
Si 4.3395 0.0000 5.0630
Os -0.1889 0.0000 5.6017
Os 6.1078 0.0000 3.3907
```